1.
Calculated powder diffraction line list
Compound: Sr3B6Rh8
Radiation: Cu Kα (weighted mean of Kα1 and Kα2)
Structure: a cell relaxed with PBE
No peak broadening, texture or thermal motion is included.

Structural model:
a b c (Å): 9.967 9.055 5.760
angles (deg): 81.28 63.89 34.83
Atoms (fractional coordinates):
Sr  0.000  0.000  0.000
Sr  0.183  0.183  0.817
Sr  0.817  0.817  0.183
B  0.166  0.496  0.504
B  0.335  0.665  0.335
B  0.496  0.166  0.834
B  0.504  0.834  0.166
B  0.665  0.335  0.665
B  0.834  0.504  0.496
Rh  0.084  0.084  0.416
Rh  0.250  0.250  0.250
Rh  0.413  0.413  0.587
Rh  0.416  0.416  0.084
Rh  0.584  0.584  0.916
Rh  0.587  0.587  0.413
Rh  0.750  0.750  0.750
Rh  0.916  0.916  0.584

Most intense lines, 5 to 70 degrees two-theta, sorted by position:
| two_theta | I/Imax |
| --- | --- |
| 31.75 | 441 |
| 35.72 | 532 |
| 36.05 | 353 |
| 36.62 | 1000 |
| 40.86 | 271 |
| 48.84 | 294 |

***

2.
Calculated powder diffraction line list
Compound: Sr5B10Rh14
Radiation: Cu Kα (weighted mean of Kα1 and Kα2)
Structure: a cell relaxed with PBE
No peak broadening, texture or thermal motion is included.

Structural model:
a b c (Å): 15.353 14.795 5.728
angles (deg): 84.59 73.61 21.80
Atoms (fractional coordinates):
Sr  0.000  0.000  0.000
Sr  0.105  0.105  0.895
Sr  0.212  0.212  0.788
Sr  0.788  0.788  0.212
Sr  0.895  0.895  0.105
B  0.132  0.464  0.536
B  0.234  0.564  0.436
B  0.334  0.666  0.334
B  0.436  0.766  0.234
B  0.464  0.132  0.868
B  0.536  0.868  0.132
B  0.564  0.234  0.766
B  0.666  0.334  0.666
B  0.766  0.436  0.564
B  0.868  0.536  0.464
Rh  0.051  0.051  0.449
Rh  0.152  0.152  0.348
Rh  0.250  0.250  0.250
Rh  0.347  0.347  0.653
Rh  0.348  0.348  0.152
Rh  0.449  0.449  0.051
Rh  0.450  0.450  0.550
Rh  0.550  0.550  0.450
Rh  0.551  0.551  0.949
Rh  0.652  0.652  0.848
Rh  0.653  0.653  0.347
Rh  0.750  0.750  0.750
Rh  0.848  0.848  0.652
Rh  0.949  0.949  0.551

Most intense lines, 5 to 70 degrees two-theta, sorted by position:
| two_theta | I/Imax |
| --- | --- |
| 33.20 | 382 |
| 35.79 | 290 |
| 36.06 | 517 |
| 36.54 | 1000 |
| 42.19 | 241 |
| 48.51 | 312 |

***

3.
Calculated powder diffraction line list
Compound: Tb2B6Rh9
Radiation: Cu Kα (weighted mean of Kα1 and Kα2)
Structure: a cell relaxed with PBE
No peak broadening, texture or thermal motion is included.

Structural model:
a b c (Å): 5.617 5.617 8.586
angles (deg): 90.00 90.00 120.00
Atoms (fractional coordinates):
Tb  0.000  0.000  0.206
Tb  0.000  0.000  0.794
B  0.333  0.667  0.167
B  0.333  0.667  0.500
B  0.333  0.667  0.833
B  0.667  0.333  0.167
B  0.667  0.333  0.500
B  0.667  0.333  0.833
Rh  0.000  0.500  0.000
Rh  0.000  0.500  0.336
Rh  0.000  0.500  0.664
Rh  0.500  0.000  0.000
Rh  0.500  0.000  0.336
Rh  0.500  0.000  0.664
Rh  0.500  0.500  0.000
Rh  0.500  0.500  0.336
Rh  0.500  0.500  0.664

Most intense lines, 5 to 70 degrees two-theta, sorted by position:
| two_theta | I/Imax |
| --- | --- |
| 27.72 | 207 |
| 36.43 | 372 |
| 36.96 | 1000 |
| 45.24 | 255 |
| 49.16 | 307 |
| 66.61 | 220 |

***

4.
Calculated powder diffraction line list
Compound: TbBRh3
Radiation: Cu Kα (weighted mean of Kα1 and Kα2)
Structure: a cell relaxed with PBE
No peak broadening, texture or thermal motion is included.

Structural model:
a b c (Å): 4.215 4.215 4.215
angles (deg): 90.00 90.00 90.00
Atoms (fractional coordinates):
Tb  0.000  0.000  0.000
B  0.500  0.500  0.500
Rh  0.000  0.500  0.500
Rh  0.500  0.000  0.500
Rh  0.500  0.500  0.000

Most intense lines, 5 to 70 degrees two-theta, sorted by position:
| two_theta | I/Imax |
| --- | --- |
| 21.08 | 23 |
| 29.98 | 43 |
| 36.94 | 1000 |
| 42.91 | 523 |
| 53.23 | 17 |
| 62.30 | 340 |